(1)
Theoretical powder X-ray diffraction pattern
Compound: V2TcOs
Radiation: Cu Ka
Structure: a cell relaxed with PBE

Main lines, sorted by position (15 to 90 degrees two-theta):
2θ = 25.5°, 3.491 Å, intensity 12
2θ = 29.5°, 3.023 Å, intensity 30
2θ = 42.3°, 2.138 Å, intensity 100
2θ = 50.0°, 1.823 Å, intensity 6
2θ = 52.4°, 1.746 Å, intensity 9
2θ = 61.3°, 1.512 Å, intensity 16
2θ = 69.5°, 1.352 Å, intensity 12
2θ = 77.3°, 1.234 Å, intensity 32

Structure:
Cell: 4.276 4.276 4.276 Å, 60.00 60.00 60.00°
Positions (direct):
V 0.250 0.250 0.250
V 0.750 0.750 0.750
Tc 0.000 0.000 0.000
Os 0.500 0.500 0.500

=====

(2)
Theoretical powder X-ray diffraction pattern
Compound: Zr2TcOs
Radiation: Cu Ka
Structure: a cell relaxed with PBE

Main lines, sorted by position (15 to 90 degrees two-theta):
2θ = 23.4°, 3.800 Å, intensity 8
2θ = 27.1°, 3.291 Å, intensity 6
2θ = 38.7°, 2.327 Å, intensity 100
2θ = 45.7°, 1.985 Å, intensity 4
2θ = 55.9°, 1.646 Å, intensity 17
2θ = 63.2°, 1.472 Å, intensity 2
2θ = 70.0°, 1.344 Å, intensity 34
2θ = 83.0°, 1.164 Å, intensity 11

Structure:
Cell: 4.655 4.655 4.655 Å, 60.00 60.00 60.00°
Positions (direct):
Zr 0.250 0.250 0.250
Zr 0.750 0.750 0.750
Tc 0.000 0.000 0.000
Os 0.500 0.500 0.500

=====

(3)
Theoretical powder X-ray diffraction pattern
Compound: Th7Os3
Radiation: Cu Ka
Structure: a cell relaxed with PBE

Main lines, sorted by position (15 to 90 degrees two-theta):
2θ = 30.0°, 2.981 Å, intensity 49
2θ = 30.6°, 2.917 Å, intensity 100
2θ = 34.0°, 2.635 Å, intensity 63
2θ = 35.0°, 2.563 Å, intensity 59
2θ = 35.8°, 2.508 Å, intensity 52
2θ = 47.8°, 1.902 Å, intensity 25
2θ = 53.6°, 1.709 Å, intensity 30
2θ = 81.3°, 1.184 Å, intensity 25

Structure:
Cell: 10.034 10.034 6.348 Å, 90.00 90.00 120.00°
Positions (direct):
Th 0.079 0.540 0.000
Th 0.126 0.252 0.701
Th 0.126 0.874 0.701
Th 0.252 0.126 0.201
Th 0.333 0.667 0.486
Th 0.460 0.540 0.000
Th 0.460 0.921 0.000
Th 0.540 0.079 0.500
Th 0.540 0.460 0.500
Th 0.667 0.333 0.986
Th 0.748 0.874 0.701
Th 0.874 0.126 0.201
Th 0.874 0.748 0.201
Th 0.921 0.460 0.500
Os 0.187 0.375 0.250
Os 0.187 0.813 0.250
Os 0.375 0.187 0.750
Os 0.625 0.813 0.250
Os 0.813 0.187 0.750
Os 0.813 0.625 0.750

=====

(4)
Theoretical powder X-ray diffraction pattern
Compound: TmThOs2
Radiation: Cu Ka
Structure: a cell relaxed with PBE

Main lines, sorted by position (15 to 90 degrees two-theta):
2θ = 22.1°, 4.013 Å, intensity 1
2θ = 36.6°, 2.458 Å, intensity 100
2θ = 43.2°, 2.096 Å, intensity 1
2θ = 52.7°, 1.738 Å, intensity 18
2θ = 65.8°, 1.419 Å, intensity 37
2θ = 77.7°, 1.229 Å, intensity 12
2θ = 89.1°, 1.099 Å, intensity 17

Structure:
Cell: 4.915 4.915 4.915 Å, 60.00 60.00 60.00°
Positions (direct):
Tm 0.000 0.000 0.000
Th 0.500 0.500 0.500
Os 0.250 0.250 0.250
Os 0.750 0.750 0.750

=====

(5)
Theoretical powder X-ray diffraction pattern
Compound: TiOs
Radiation: Cu Ka
Structure: a cell relaxed with PBE

Main lines, sorted by position (15 to 90 degrees two-theta):
2θ = 28.8°, 3.095 Å, intensity 45
2θ = 41.2°, 2.189 Å, intensity 100
2θ = 51.1°, 1.787 Å, intensity 13
2θ = 59.8°, 1.548 Å, intensity 17
2θ = 67.7°, 1.384 Å, intensity 18
2θ = 75.2°, 1.264 Å, intensity 34
2θ = 89.6°, 1.094 Å, intensity 11

Structure:
Cell: 3.095 3.095 3.095 Å, 90.00 90.00 90.00°
Positions (direct):
Ti 0.000 0.000 0.000
Os 0.500 0.500 0.500

=====

(6)
Theoretical powder X-ray diffraction pattern
Compound: TiOs2
Radiation: Cu Ka
Structure: a cell relaxed with PBE

Main lines, sorted by position (15 to 90 degrees two-theta):
2θ = 20.0°, 4.443 Å, intensity 51
2θ = 21.2°, 4.187 Å, intensity 35
2θ = 22.7°, 3.924 Å, intensity 38
2θ = 38.1°, 2.364 Å, intensity 33
2θ = 41.3°, 2.187 Å, intensity 74
2θ = 42.1°, 2.147 Å, intensity 100
2θ = 46.3°, 1.962 Å, intensity 55
2θ = 52.7°, 1.738 Å, intensity 33

Structure:
Cell: 5.130 5.130 8.374 Å, 90.00 90.00 120.00°
Positions (direct):
Ti 0.333 0.667 0.069
Ti 0.333 0.667 0.431
Ti 0.667 0.333 0.569
Ti 0.667 0.333 0.931
Os 0.000 0.000 0.000
Os 0.000 0.000 0.500
Os 0.174 0.347 0.750
Os 0.174 0.826 0.750
Os 0.347 0.174 0.250
Os 0.653 0.826 0.750
Os 0.826 0.174 0.250
Os 0.826 0.653 0.250